Structure and computed powder XRD pattern of KMg14Fe (the GGA-PBE geometry in the Materials Project; Cu Kα, 1.54184 Å).

Structure:
Cell: 10.340 6.483 11.171 Å, 90.00 90.00 90.00°
Space group Amm2 (No. 38)
Inequivalent atoms, fractional coordinates:
K: 0.000 0.000 0.000 (multiplicity 2)
Mg: 0.000 0.243 0.252 (multiplicity 4)
Mg: 0.238 0.000 0.662 (multiplicity 4)
Mg: 0.254 0.237 0.416 (multiplicity 8)
Mg: 0.264 0.000 0.171 (multiplicity 4)
Mg: 0.500 0.000 0.500 (multiplicity 2)
Mg: 0.500 0.000 0.998 (multiplicity 2)
Mg: 0.500 0.247 0.750 (multiplicity 4)
Fe: 0.000 0.000 0.491 (multiplicity 2)

Peak list (6 most intense, 5 to 70 degrees two-theta, by angle)
h k l, 2theta, intensity
0 2 2, 31.9, 24
4 0 0, 34.7, 37
2 2 2, 36.5, 100
2 0 4, 36.6, 48
4 0 4, 47.9, 22
6 2 2, 63.4, 26



Structure and computed powder XRD pattern of KMg6Fe (the GGA-PBE geometry in the Materials Project; Cu Kα, 1.54184 Å).

Structure:
Cell: 4.978 6.727 11.208 Å, 90.00 90.00 90.00°
Space group Amm2 (No. 38)
Inequivalent atoms, fractional coordinates:
K: 0.000 0.000 0.000 (multiplicity 2)
Mg: 0.000 0.000 0.513 (multiplicity 2)
Mg: 0.000 0.219 0.248 (multiplicity 4)
Mg: 0.500 0.000 0.686 (multiplicity 2)
Mg: 0.500 0.220 0.418 (multiplicity 4)
Fe: 0.500 0.000 0.223 (multiplicity 2)

Peak list (6 most intense, 5 to 70 degrees two-theta, by angle)
h k l, 2theta, intensity
0 1 1, 15.4, 15
1 0 2, 23.9, 9
0 0 4, 31.9, 15
2 0 0, 36.0, 100
1 0 4, 36.8, 16
3 2 2, 64.8, 12



Structure and computed powder XRD pattern of KMg6Fe (the GGA-PBE geometry in the Materials Project; Cu Kα, 1.54184 Å).

Structure:
Cell: 5.065 7.085 10.821 Å, 90.00 90.00 90.00°
Space group Amm2 (No. 38)
Inequivalent atoms, fractional coordinates:
K: 0.000 0.000 0.000 (multiplicity 2)
Mg: 0.000 0.244 0.742 (multiplicity 4)
Mg: 0.500 0.000 0.307 (multiplicity 2)
Mg: 0.500 0.000 0.796 (multiplicity 2)
Mg: 0.500 0.211 0.552 (multiplicity 4)
Fe: 0.000 0.000 0.517 (multiplicity 2)

Peak list (6 most intense, 5 to 70 degrees two-theta, by angle)
h k l, 2theta, intensity
0 0 4, 33.1, 22
1 2 2, 35.1, 100
2 0 0, 35.4, 28
1 0 4, 37.7, 15
2 0 4, 49.3, 14
3 2 2, 63.4, 16



Structure and computed powder XRD pattern of K2FeP2S6 (the GGA-PBE geometry in the Materials Project; Cu Kα, 1.54184 Å).

Structure:
Cell: 6.051 12.495 8.706 Å, 90.00 120.29 90.00°
Space group P2_1/c (No. 14)
Inequivalent atoms, fractional coordinates:
K: 0.161 0.190 0.458 (multiplicity 4)
Fe: 0.500 0.000 0.000 (multiplicity 2)
P: 0.153 0.526 0.635 (multiplicity 4)
S: 0.057 0.050 0.744 (multiplicity 4)
S: 0.318 0.656 0.592 (multiplicity 4)
S: 0.415 0.094 0.226 (multiplicity 4)

Peak list (6 most intense, 5 to 70 degrees two-theta, by angle)
h k l, 2theta, intensity
0 1 1, 13.7, 100
0 2 0, 14.2, 52
1 1 1, 26.2, 35
1 2 1, 29.0, 41
1 4 -1, 32.4, 47
2 1 -3, 35.7, 42



Question: What is the formula in the second record?
Answer: KMg6Fe